This entry pairs a crystal structure of TbPaBiN2 with its calculated powder diffraction line list. Radiation: Cu Ka. Structure: a PBE-relaxed structure.
Lines closer than 0.1° are merged.

Crystal structure
```
data_TbPaBiN2
_chemical_formula_sum 'Tb2 Pa2 Bi2 N4'
_symmetry_space_group_name_H-M 'I 4 m m'
_symmetry_Int_Tables_number 107
_symmetry_space_group_name_Hall 'I 4 -2'
_cell_length_a 3.9640
_cell_length_b 3.9640
_cell_length_c 13.5415
_cell_angle_alpha 90.00
_cell_angle_beta 90.00
_cell_angle_gamma 90.00
loop_
_atom_site_label
_atom_site_type_symbol
_atom_site_fract_x
_atom_site_fract_y
_atom_site_fract_z
Tb1 Tb 0.0000 0.0000 0.0000
Pa1 Pa 0.0000 0.0000 0.3420
Bi1 Bi 0.0000 0.0000 0.6691
N1 N 0.0000 0.5000 0.4113
```

Peak list (10 most intense, 15 to 90 degrees two-theta, by angle)
2θ 30.00, I 100, (1 0 3)
2θ 31.93, I 39, (1 1 0)
2θ 39.95, I 11, (0 0 6)
2θ 45.78, I 17, (2 0 0)
2θ 52.02, I 24, (1 1 6)
2θ 55.71, I 36, (2 1 3)
2θ 62.35, I 12, (2 0 6)
2θ 66.47, I 10, (1 0 9)
2θ 84.45, I 11, (2 1 9)
2θ 89.42, I 11, (3 1 6)



This entry pairs a crystal structure of TbHIr3 with its calculated powder diffraction line list. Radiation: Cu Ka. Structure: a PBE-relaxed structure.
Lines closer than 0.1° are merged.

Crystal structure
```
data_TbHIr3
_chemical_formula_sum 'Tb1 H1 Ir3'
_symmetry_space_group_name_H-M 'P m -3 m'
_symmetry_Int_Tables_number 221
_symmetry_space_group_name_Hall '-P 4 2 3'
_cell_length_a 4.1053
_cell_length_b 4.1053
_cell_length_c 4.1053
_cell_angle_alpha 90.00
_cell_angle_beta 90.00
_cell_angle_gamma 90.00
loop_
_atom_site_label
_atom_site_type_symbol
_atom_site_fract_x
_atom_site_fract_y
_atom_site_fract_z
Tb1 Tb 0.0000 0.0000 0.0000
H1 H 0.5000 0.5000 0.5000
Ir1 Ir 0.0000 0.5000 0.5000
```

Peak list (6 most intense, 15 to 90 degrees two-theta, by angle)
2θ 21.65, I 1, (1 0 0)
2θ 37.96, I 100, (1 1 1)
2θ 44.12, I 50, (2 0 0)
2θ 64.17, I 33, (2 2 0)
2θ 77.04, I 39, (3 1 1)
2θ 81.16, I 11, (2 2 2)



This entry pairs a crystal structure of HoZn5Ni2 with its calculated powder diffraction line list. Radiation: Cu Ka. Structure: a PBE-relaxed structure.
Lines closer than 0.1° are merged.

Crystal structure
```
data_HoZn5Ni2
_chemical_formula_sum 'Ho2 Zn10 Ni4'
_symmetry_space_group_name_H-M 'I m m m'
_symmetry_Int_Tables_number 71
_symmetry_space_group_name_Hall '-I 2 2'
_cell_length_a 3.7071
_cell_length_b 7.3915
_cell_length_c 9.2691
_cell_angle_alpha 90.00
_cell_angle_beta 90.00
_cell_angle_gamma 90.00
loop_
_atom_site_label
_atom_site_type_symbol
_atom_site_fract_x
_atom_site_fract_y
_atom_site_fract_z
Ho1 Ho 0.0000 0.0000 0.0000
Zn1 Zn 0.0000 0.1880 0.3466
Zn2 Zn 0.0000 0.5000 0.0000
Ni1 Ni 0.0000 0.5000 0.2635
```

Peak list (10 most intense, 15 to 90 degrees two-theta, by angle)
2θ 33.24, I 32, (1 1 2)
2θ 35.64, I 92, (1 2 1)
2θ 37.78, I 22, (0 3 1)
2θ 37.91, I 100, (1 0 3)
2θ 44.13, I 20, (1 3 0)
2θ 46.24, I 49, (0 2 4)
2θ 48.52, I 32, (1 3 2)
2θ 49.15, I 33, (2 0 0)
2θ 69.78, I 27, (2 2 4)
2θ 81.46, I 19, (1 2 7)



This entry pairs a crystal structure of Ac6Pr2Mg with its calculated powder diffraction line list. Radiation: Cu Ka. Structure: a PBE-relaxed structure.
Lines closer than 0.1° are merged.

Crystal structure
```
data_Ac6Pr2Mg
_chemical_formula_sum 'Ac6 Pr2 Mg1'
_symmetry_space_group_name_H-M 'P -6 m 2'
_symmetry_Int_Tables_number 187
_symmetry_space_group_name_Hall 'P -6 2'
_cell_length_a 3.9024
_cell_length_b 3.9024
_cell_length_c 28.5555
_cell_angle_alpha 90.00
_cell_angle_beta 90.00
_cell_angle_gamma 120.00
loop_
_atom_site_label
_atom_site_type_symbol
_atom_site_fract_x
_atom_site_fract_y
_atom_site_fract_z
Ac1 Ac 0.0000 0.0000 0.0676
Ac2 Ac 0.0000 0.0000 0.2849
Ac3 Ac 0.3333 0.6667 0.4005
Pr1 Pr 0.3333 0.6667 0.1744
Mg1 Mg 0.0000 0.0000 0.5000
```

Peak list (10 most intense, 15 to 90 degrees two-theta, by angle)
2θ 26.37, I 41, (1 0 0)
2θ 26.56, I 22, (1 0 1)
2θ 28.02, I 22, (1 0 3)
2θ 28.12, I 32, (0 0 9)
2θ 29.24, I 34, (1 0 4)
2θ 30.74, I 100, (1 0 5)
2θ 38.94, I 21, (1 0 9)
2θ 46.54, I 35, (1 1 0)
2θ 52.39, I 31, (1 0 14)
2θ 55.26, I 34, (1 1 9)